Entry 1:
Theoretical powder X-ray diffraction pattern
Compound: Pr6ErCd
Radiation: Cu Kα, 1.54184 Å
Structure: a cell relaxed with GGA-PBE
Peak positions follow from Bragg's law for the DFT cell and can differ from measured ones.

Main lines, in order of rising 2θ (15° ≤ 2θ ≤ 90°):
hkl, Position (°2θ), intensity
1 1 2, 30.34, 100
0 0 4, 34.73, 17
2 0 0, 35.40, 33
2 0 4, 50.44, 24
2 2 0, 50.94, 12
1 1 6, 59.55, 14
3 1 2, 60.45, 28
2 2 4, 63.13, 12
3 1 6, 82.13, 12
3 3 2, 82.92, 6

Structure:
abc: 5.071 5.071 10.332
angles: 90.00 90.00 90.00
Space group P4/mmm (No. 123)
Unique sites:
Pr 0.000 0.000 0.000 (multiplicity 1)
Pr 0.000 0.000 0.500 (multiplicity 1)
Pr 0.000 0.500 0.246 (multiplicity 4)
Er 0.500 0.500 0.500 (multiplicity 1)
Cd 0.500 0.500 0.000 (multiplicity 1)

---

Entry 2:
Theoretical powder X-ray diffraction pattern
Compound: Pr5ErCd6
Radiation: Cu Kα, 1.54184 Å
Structure: a cell relaxed with GGA-PBE
Peak positions follow from Bragg's law for the DFT cell and can differ from measured ones.

Main lines, in order of rising 2θ (15° ≤ 2θ ≤ 90°):
hkl, Position (°2θ), intensity
1 2 1, 32.82, 100
2 0 -1, 32.97, 20
0 4 0, 46.93, 7
2 0 2, 47.23, 14
2 4 -1, 58.51, 15
1 2 4, 58.63, 14
3 2 0, 58.77, 15
2 4 2, 68.78, 9
1 6 1, 78.10, 6
4 0 1, 78.61, 6

Structure:
abc: 5.434 7.744 8.614
angles: 90.00 108.30 90.00
Space group P2/m (No. 10)
Unique sites:
Pr 0.000 0.000 0.000 (multiplicity 1)
Pr 0.330 0.000 0.661 (multiplicity 2)
Pr 0.334 0.500 0.669 (multiplicity 2)
Er 0.000 0.500 0.000 (multiplicity 1)
Cd 0.162 0.256 0.324 (multiplicity 4)
Cd 0.500 0.258 0.000 (multiplicity 2)

---

Entry 3:
Theoretical powder X-ray diffraction pattern
Compound: Pr2ErCd5
Radiation: Cu Kα, 1.54184 Å
Structure: a cell relaxed with GGA-PBE
Peak positions follow from Bragg's law for the DFT cell and can differ from measured ones.

Main lines, in order of rising 2θ (15° ≤ 2θ ≤ 90°):
hkl, Position (°2θ), intensity
1 1 4, 33.63, 100
2 0 0, 34.71, 49
0 0 8, 46.65, 8
2 2 0, 49.90, 17
2 0 8, 59.44, 15
3 1 4, 61.53, 34
2 2 8, 70.68, 11
4 0 0, 73.25, 5
3 3 4, 83.06, 7
4 2 0, 83.67, 8

Structure:
abc: 5.169 5.169 15.577
angles: 90.00 90.00 90.00
Space group I4/mmm (No. 139)
Unique sites:
Pr 0.000 0.000 0.238 (multiplicity 4)
Er 0.000 0.000 0.500 (multiplicity 2)
Cd 0.000 0.000 0.000 (multiplicity 2)
Cd 0.000 0.500 0.112 (multiplicity 8)

---

Entry 4:
Theoretical powder X-ray diffraction pattern
Compound: ErCd2Pt9
Radiation: Cu Kα, 1.54184 Å
Structure: a cell relaxed with GGA-PBE
Peak positions follow from Bragg's law for the DFT cell and can differ from measured ones.

Main lines, in order of rising 2θ (15° ≤ 2θ ≤ 90°):
hkl, Position (°2θ), intensity
1 0 1, 19.43, 24
1 1 0, 33.43, 24
0 2 1, 38.98, 23
1 1 6, 39.42, 100
0 0 12, 41.15, 27
2 0 5, 42.57, 47
0 2 7, 45.97, 18
0 3 6, 63.82, 22
2 2 0, 70.29, 22
2 2 12, 84.83, 22

Structure:
abc: 5.3567 5.3567 26.3259
angles: 90.00 90.00 120.00
Space group R-3m (No. 166, hexagonal axes)
Unique sites:
Er 0.0000 0.0000 0.0000 (multiplicity 3)
Cd 0.0000 0.0000 0.1443 (multiplicity 6)
Pt 0.0000 0.0000 0.3337 (multiplicity 6)
Pt 0.0000 0.0000 0.5000 (multiplicity 3)
Pt 0.0042 0.5021 0.9150 (multiplicity 18)

---

Entry 5:
Theoretical powder X-ray diffraction pattern
Compound: Er2CdPt
Radiation: Cu Kα, 1.54184 Å
Structure: a cell relaxed with GGA-PBE
Peak positions follow from Bragg's law for the DFT cell and can differ from measured ones.

Main lines, in order of rising 2θ (15° ≤ 2θ ≤ 90°):
hkl, Position (°2θ), intensity
1 1 1, 21.54, 3
2 2 0, 35.54, 100
3 1 1, 41.94, 2
4 0 0, 51.14, 18
3 3 1, 56.12, 1
4 2 2, 63.83, 36
5 1 1, 68.21, 1
4 4 0, 75.24, 11
5 3 1, 79.35, 1
6 2 0, 86.08, 16

Structure:
abc: 7.144 7.144 7.144
angles: 90.00 90.00 90.00
Space group Fm-3m (No. 225)
Unique sites:
Er 0.250 0.250 0.250 (multiplicity 8)
Cd 0.000 0.000 0.000 (multiplicity 4)
Pt 0.000 0.000 0.500 (multiplicity 4)

---

Entry 6:
Theoretical powder X-ray diffraction pattern
Compound: Er4CdPt7
Radiation: Cu Kα, 1.54184 Å
Structure: a cell relaxed with GGA-PBE
Peak positions follow from Bragg's law for the DFT cell and can differ from measured ones.

Main lines, in order of rising 2θ (15° ≤ 2θ ≤ 90°):
hkl, Position (°2θ), intensity
4 0 -1, 33.99, 30
4 0 -3, 34.26, 37
0 2 0, 34.58, 100
2 0 -4, 34.76, 57
3 1 1, 39.23, 83
1 1 3, 40.50, 41
1 1 -4, 40.70, 32
5 1 -3, 45.09, 31
4 2 -3, 49.47, 27
2 2 -4, 49.84, 42

Structure:
abc: 11.009 5.188 10.343
angles: 90.00 121.40 90.00
Space group C2/m (No. 12)
Unique sites:
Er 0.094 0.000 0.284 (multiplicity 4)
Er 0.227 0.500 0.141 (multiplicity 4)
Cd 0.000 0.500 0.500 (multiplicity 2)
Pt 0.000 0.000 0.500 (multiplicity 2)
Pt 0.076 0.500 0.811 (multiplicity 4)
Pt 0.134 0.000 0.031 (multiplicity 4)
Pt 0.213 0.500 0.399 (multiplicity 4)

---

Entry 7:
Theoretical powder X-ray diffraction pattern
Compound: Er2CdSi4Pt3
Radiation: Cu Kα, 1.54184 Å
Structure: a cell relaxed with GGA-PBE
Peak positions follow from Bragg's law for the DFT cell and can differ from measured ones.

Main lines, in order of rising 2θ (15° ≤ 2θ ≤ 90°):
hkl, Position (°2θ), intensity
0 0 3, 25.77, 26
1 0 2, 27.53, 38
1 1 0, 30.46, 25
1 1 1, 31.69, 69
1 0 3, 33.74, 95
1 1 2, 35.14, 100
2 0 0, 43.62, 80
1 0 5, 49.10, 32
2 1 3, 56.26, 45
2 2 0, 63.39, 34

Structure:
abc: 4.150 4.150 10.370
angles: 90.00 90.00 90.00
Space group P-4m2 (No. 115)
Unique sites:
Er 0.000 0.500 0.245 (multiplicity 2)
Cd 0.000 0.000 0.500 (multiplicity 1)
Si 0.000 0.000 0.000 (multiplicity 1)
Si 0.000 0.500 0.651 (multiplicity 2)
Si 0.500 0.500 0.000 (multiplicity 1)
Pt 0.000 0.500 0.879 (multiplicity 2)
Pt 0.500 0.500 0.500 (multiplicity 1)

---

Entry 8:
Theoretical powder X-ray diffraction pattern
Compound: Er2PuCd
Radiation: Cu Kα, 1.54184 Å
Structure: a cell relaxed with GGA-PBE
Peak positions follow from Bragg's law for the DFT cell and can differ from measured ones.

Main lines, in order of rising 2θ (15° ≤ 2θ ≤ 90°):
hkl, Position (°2θ), intensity
1 0 1, 27.62, 8
1 0 2, 32.50, 100
1 1 0, 36.82, 37
0 0 4, 39.43, 14
2 0 0, 53.06, 13
1 1 4, 55.05, 21
2 1 2, 63.62, 29
1 0 6, 67.16, 11
2 0 4, 68.07, 11
3 0 2, 87.40, 6

Structure:
abc: 3.452 3.452 9.142
angles: 90.00 90.00 90.00
Space group P4/mmm (No. 123)
Unique sites:
Er 0.000 0.000 0.234 (multiplicity 2)
Pu 0.500 0.500 0.500 (multiplicity 1)
Cd 0.500 0.500 0.000 (multiplicity 1)